1.
Diffraction record for Li3CrB2O6. The powder X-ray diffraction pattern is calculated, not measured: it uses a crystal structure in the Materials Project, relaxed with PBE+U and copper Kα.

Crystal structure
Cell: 5.2630 8.7055 10.7711 Å, 90.00 116.44 90.00°
Sites, in units of the cell vectors:
Li 0.0229 0.0425 0.1475
Li 0.0229 0.4575 0.6475
Li 0.0594 0.6522 0.8764
Li 0.0594 0.8478 0.3764
Li 0.4231 0.0308 0.6134
Li 0.4231 0.4692 0.1134
Li 0.5769 0.5308 0.8866
Li 0.5769 0.9692 0.3866
Li 0.9406 0.1522 0.6236
Li 0.9406 0.3478 0.1236
Li 0.9771 0.5425 0.3525
Li 0.9771 0.9575 0.8525
Cr 0.4862 0.2099 0.8757
Cr 0.4862 0.2901 0.3757
Cr 0.5138 0.7099 0.6243
Cr 0.5138 0.7901 0.1243
B 0.0486 0.1951 0.3821
B 0.0486 0.3049 0.8821
B 0.4704 0.1430 0.1346
B 0.4704 0.3570 0.6346
B 0.5296 0.6430 0.3654
B 0.5296 0.8570 0.8654
B 0.9514 0.6951 0.1179
B 0.9514 0.8049 0.6179
O 0.0922 0.1591 0.8434
O 0.0922 0.3409 0.3434
O 0.1732 0.6560 0.0905
O 0.1732 0.8440 0.5905
O 0.2583 0.0894 0.3927
O 0.2583 0.4106 0.8927
O 0.3330 0.2377 0.6676
O 0.3330 0.2623 0.1676
O 0.3336 0.6749 0.4152
O 0.3336 0.8251 0.9152
O 0.3918 0.5033 0.6527
O 0.3918 0.9967 0.1527
O 0.6082 0.0033 0.8473
O 0.6082 0.4967 0.3473
O 0.6664 0.1749 0.0848
O 0.6664 0.3251 0.5848
O 0.6670 0.7377 0.8324
O 0.6670 0.7623 0.3324
O 0.7417 0.5894 0.1073
O 0.7417 0.9106 0.6073
O 0.8268 0.1560 0.4095
O 0.8268 0.3440 0.9095
O 0.9078 0.6591 0.6566
O 0.9078 0.8409 0.1566

Most intense lines, 10° ≤ 2θ ≤ 90°, in order of falling intensity:
2θ/deg	intensity
21.1	100.0
37.3	86.1
20.4	78.2
18.8	73.3
35.3	43.5
22.1	26.6
46.6	25.7
35.7	23.6

***

2.
Diffraction record for Ba2Mn2Se2OF2. The powder X-ray diffraction pattern is calculated, not measured: it uses a crystal structure in the Materials Project, relaxed with PBE+U and copper Kα.

Crystal structure
Cell: 10.4658 10.4658 10.4658 Å, 156.18 156.18 33.94°
Sites, in units of the cell vectors:
Ba 0.1714 0.1714 0.0000
Ba 0.8286 0.8286 0.0000
Mn 0.0000 0.5000 0.5000
Mn 0.5000 0.0000 0.5000
Se 0.4065 0.4065 0.0000
Se 0.5935 0.5935 0.0000
O 0.0000 0.0000 0.0000
F 0.2500 0.7500 0.5000
F 0.7500 0.2500 0.5000

Most intense lines, 10° ≤ 2θ ≤ 90°, in order of falling intensity:
2θ/deg	intensity
30.4	100.0
34.4	78.2
24.5	69.1
41.8	63.0
52.6	41.3
29.2	39.9
45.9	29.4
46.9	25.8

***

3.
Diffraction record for Li9Mn2Co5O16. The powder X-ray diffraction pattern is calculated, not measured: it uses a crystal structure in the Materials Project, relaxed with PBE+U and copper Kα.

Crystal structure
Cell: 5.0684 5.8332 9.8334 Å, 81.62 84.39 89.30°
Sites, in units of the cell vectors:
Li 0.0000 0.0000 0.0000
Li 0.0022 0.5101 0.0025
Li 0.2467 0.8771 0.5103
Li 0.2520 0.3787 0.5091
Li 0.4894 0.2549 0.0031
Li 0.5091 0.7578 0.0016
Li 0.7469 0.6305 0.5118
Li 0.7541 0.1228 0.5157
Li 0.8749 0.8160 0.7573
Mn 0.1253 0.1928 0.2581
Mn 0.3732 0.5679 0.7558
Co 0.1121 0.6986 0.2536
Co 0.3774 0.0588 0.7575
Co 0.6170 0.4443 0.2588
Co 0.6313 0.9370 0.2560
Co 0.8737 0.3170 0.7575
O 0.0641 0.1145 0.6499
O 0.0716 0.5799 0.6477
O 0.1930 0.3004 0.8714
O 0.2130 0.7759 0.8738
O 0.2959 0.9835 0.1407
O 0.3026 0.4574 0.1435
O 0.4191 0.1622 0.3706
O 0.4423 0.6523 0.3704
O 0.5383 0.8330 0.6396
O 0.5578 0.3543 0.6402
O 0.6783 0.5221 0.8648
O 0.6833 0.0570 0.8678
O 0.8163 0.7173 0.1348
O 0.8220 0.2288 0.1478
O 0.9432 0.4049 0.3719
O 0.9544 0.9227 0.3757

Most intense lines, 10° ≤ 2θ ≤ 90°, in order of falling intensity:
2θ/deg	intensity
18.3	100.0
43.3	28.2
35.9	28.2
43.5	28.1
44.0	27.3
62.9	15.1
63.3	15.1
36.3	12.8